Record 1
For Th4PdRh3, a DFT-relaxed cell (GGA-PBE, Alexandria) gives the simulated PXRD pattern in this record (a wavelength of 1.5418 Å).
Neutral-atom scattering factors, no anomalous dispersion.

Cell and atoms:
Lattice parameters (Å, degrees): 7.359 7.359 3.910 104.71 104.71 71.09
Fractional positions:
Th: 0.000 0.000 0.000
Th: 0.468 0.987 0.720
Th: 0.501 0.501 0.002
Th: 0.987 0.468 0.720
Pd: 0.773 0.773 0.265
Rh: 0.217 0.714 0.469
Rh: 0.267 0.267 0.258
Rh: 0.714 0.217 0.469

Top 6 peaks for 2θ = 10–90°, by intensity:
2θ 31.91, d 2.805, I = 100; 2θ 32.08, d 2.790, I = 88; 2θ 31.45, d 2.844, I = 82; 2θ 39.45, d 2.284, I = 53; 2θ 39.01, d 2.309, I = 50; 2θ 42.25, d 2.139, I = 45

Record 2
For Pm4ZnNi, a DFT-relaxed cell (GGA-PBE, Alexandria) gives the simulated PXRD pattern in this record (a wavelength of 1.5418 Å).
Neutral-atom scattering factors, no anomalous dispersion.

Cell and atoms:
Lattice parameters (Å, degrees): 4.794 4.791 7.238 90.00 90.22 90.00
Fractional positions:
Pm: 0.000 0.000 0.000
Pm: 0.001 0.500 0.416
Pm: 0.499 0.500 0.775
Pm: 0.502 0.000 0.416
Zn: 0.499 0.500 0.162
Ni: 0.006 0.000 0.629

Top 6 peaks for 2θ = 10–90°, by intensity:
2θ 29.10, d 3.069, I = 100; 2θ 37.54, d 2.396, I = 53; 2θ 30.95, d 2.890, I = 26; 2θ 54.13, d 1.694, I = 18; 2θ 62.62, d 1.484, I = 17; 2θ 36.37, d 2.470, I = 16

Record 3
For Lu2MgS4, a DFT-relaxed cell (GGA-PBE, Alexandria) gives the simulated PXRD pattern in this record (a wavelength of 1.5418 Å).
Neutral-atom scattering factors, no anomalous dispersion.

Cell and atoms:
Lattice parameters (Å, degrees): 7.774 7.774 7.774 60.00 60.00 60.00
Fractional positions:
Lu: 0.000 0.000 0.000
Lu: 0.000 0.000 0.500
Lu: 0.000 0.500 0.000
Lu: 0.500 0.000 0.000
Mg: 0.375 0.375 0.375
Mg: 0.625 0.625 0.625
S: 0.232 0.756 0.756
S: 0.244 0.244 0.244
S: 0.244 0.244 0.768
S: 0.244 0.768 0.244
S: 0.756 0.232 0.756
S: 0.756 0.756 0.232
S: 0.756 0.756 0.756
S: 0.768 0.244 0.244

Top 6 peaks for 2θ = 10–90°, by intensity:
2θ 13.95, d 6.348, I = 100; 2θ 26.90, d 3.315, I = 89; 2θ 32.58, d 2.749, I = 78; 2θ 46.74, d 1.944, I = 68; 2θ 42.74, d 2.116, I = 38; 2θ 28.12, d 3.174, I = 32

Record 4
For ScBi2POs, a DFT-relaxed cell (GGA-PBE, Alexandria) gives the simulated PXRD pattern in this record (a wavelength of 1.5418 Å).
Neutral-atom scattering factors, no anomalous dispersion.

Cell and atoms:
Lattice parameters (Å, degrees): 5.540 5.540 4.731 90.00 90.00 90.00
Fractional positions:
Sc: 0.000 0.000 0.000
Bi: 0.000 0.500 0.000
Bi: 0.500 0.000 0.000
P: 0.000 0.000 0.500
Os: 0.500 0.500 0.500

Top 6 peaks for 2θ = 10–90°, by intensity:
2θ 29.61, d 3.017, I = 100; 2θ 32.32, d 2.770, I = 53; 2θ 55.97, d 1.643, I = 35; 2θ 50.76, d 1.799, I = 30; 2θ 46.36, d 1.959, I = 20; 2θ 24.75, d 3.598, I = 18

Record 5
For Ac5Si2I5, a DFT-relaxed cell (GGA-PBE, Alexandria) gives the simulated PXRD pattern in this record (a wavelength of 1.5418 Å).
Neutral-atom scattering factors, no anomalous dispersion.

Cell and atoms:
Lattice parameters (Å, degrees): 8.076 8.076 14.151 105.15 105.15 33.21
Fractional positions:
Ac: 0.000 0.000 0.000
Ac: 0.096 0.096 0.392
Ac: 0.346 0.346 0.191
Ac: 0.654 0.654 0.809
Ac: 0.904 0.904 0.608
Si: 0.031 0.031 0.799
Si: 0.969 0.969 0.201
I: 0.248 0.248 0.641
I: 0.330 0.330 0.942
I: 0.500 0.500 0.500
I: 0.670 0.670 0.058
I: 0.752 0.752 0.359

Top 6 peaks for 2θ = 10–90°, by intensity:
2θ 25.95, d 3.433, I = 100; 2θ 19.93, d 4.454, I = 70; 2θ 25.63, d 3.475, I = 39; 2θ 31.89, d 2.806, I = 33; 2θ 29.36, d 3.042, I = 30; 2θ 39.02, d 2.308, I = 29

Record 6
For HfRh2, a DFT-relaxed cell (GGA-PBE, Alexandria) gives the simulated PXRD pattern in this record (a wavelength of 1.5418 Å).
Neutral-atom scattering factors, no anomalous dispersion.

Cell and atoms:
Lattice parameters (Å, degrees): 6.565 6.565 3.857 90.00 90.00 144.62
Fractional positions:
Hf: 0.150 0.850 0.000
Hf: 0.850 0.150 0.000
Rh: 0.000 0.000 0.500
Rh: 0.333 0.667 0.500
Rh: 0.500 0.500 0.000
Rh: 0.667 0.333 0.500

Top 6 peaks for 2θ = 10–90°, by intensity:
2θ 39.01, d 2.309, I = 100; 2θ 45.46, d 1.995, I = 17; 2θ 43.40, d 2.085, I = 16; 2θ 47.13, d 1.928, I = 15; 2θ 79.64, d 1.204, I = 12; 2θ 82.07, d 1.174, I = 12

Record 7
For LaSm2, a DFT-relaxed cell (GGA-PBE, Alexandria) gives the simulated PXRD pattern in this record (a wavelength of 1.5418 Å).
Neutral-atom scattering factors, no anomalous dispersion.

Cell and atoms:
Lattice parameters (Å, degrees): 6.449 6.449 5.899 90.00 90.00 59.81
Fractional positions:
La: 0.169 0.831 0.750
La: 0.831 0.169 0.250
Sm: 0.166 0.498 0.250
Sm: 0.498 0.166 0.750
Sm: 0.502 0.834 0.250
Sm: 0.834 0.502 0.750

Top 6 peaks for 2θ = 10–90°, by intensity:
2θ 31.65, d 2.827, I = 100; 2θ 30.30, d 2.949, I = 25; 2θ 27.69, d 3.222, I = 24; 2θ 54.69, d 1.678, I = 21; 2θ 41.51, d 2.175, I = 16; 2θ 58.73, d 1.572, I = 15

Record 8
For YNb6S8, a DFT-relaxed cell (GGA-PBE, Alexandria) gives the simulated PXRD pattern in this record (a wavelength of 1.5418 Å).
Neutral-atom scattering factors, no anomalous dispersion.

Cell and atoms:
Lattice parameters (Å, degrees): 6.640 6.640 6.640 88.18 88.18 88.18
Fractional positions:
Y: 0.000 0.000 0.000
Nb: 0.202 0.409 0.555
Nb: 0.409 0.555 0.202
Nb: 0.445 0.798 0.591
Nb: 0.555 0.202 0.409
Nb: 0.591 0.445 0.798
Nb: 0.798 0.591 0.445
S: 0.133 0.756 0.388
S: 0.230 0.230 0.230
S: 0.244 0.612 0.867
S: 0.388 0.133 0.756
S: 0.612 0.867 0.244
S: 0.756 0.388 0.133
S: 0.770 0.770 0.770
S: 0.867 0.244 0.612

Top 6 peaks for 2θ = 10–90°, by intensity:
2θ 13.35, d 6.633, I = 100; 2θ 33.25, d 2.694, I = 76; 2θ 45.48, d 1.994, I = 71; 2θ 41.39, d 2.181, I = 60; 2θ 30.50, d 2.931, I = 56; 2θ 42.71, d 2.117, I = 46